Diffraction record for Ni3SbP4O16. The powder diffraction line list is computed, not measured: it uses a GGA+U-relaxed structure and Cu Ka.
Peak positions follow from Bragg's law for the DFT cell and can differ from measured ones.

abc: 4.856 5.876 9.963
angles: 90.00 90.14 90.00
Space group Pm (No. 6)
Unique sites:
Ni 0.000 0.000 0.000
Ni 0.090 0.500 0.541
Ni 0.510 0.500 0.036
Sb 0.579 0.000 0.485
P 0.146 0.000 0.675
P 0.455 0.000 0.164
P 0.624 0.500 0.352
P 0.949 0.500 0.864
O 0.205 0.000 0.821
O 0.265 0.500 0.875
O 0.297 0.199 0.593
O 0.311 0.207 0.098
O 0.320 0.500 0.378
O 0.358 0.000 0.321
O 0.719 0.500 0.210
O 0.766 0.000 0.165
O 0.774 0.294 0.435
O 0.809 0.294 0.934
O 0.830 0.000 0.645
O 0.887 0.500 0.712

Peak list (10 most intense, 2θ from 10° to 80°, in order of rising 2θ)
- 17.81°, d = 4.981 Å, intensity 67, hkl 0 0 2
- 20.34°, d = 4.365 Å, intensity 55, hkl 1 0 1
- 25.42°, d = 3.504 Å, intensity 100, hkl 1 1 1
- 29.85°, d = 2.993 Å, intensity 18, hkl 1 1 -2
- 30.42°, d = 2.938 Å, intensity 56, hkl 0 2 0
- 36.12°, d = 2.487 Å, intensity 42, hkl 1 1 -3
- 36.19°, d = 2.482 Å, intensity 43, hkl 1 1 3
- 36.88°, d = 2.437 Å, intensity 19, hkl 1 2 1
- 52.21°, d = 1.752 Å, intensity 24, hkl 2 2 2
- 57.86°, d = 1.594 Å, intensity 20, hkl 1 3 -3